No. 1
Structure and computed X-ray diffraction stick pattern of Mn2ZnAu6 (a PBE-relaxed structure; copper Kα).

```
data_Mn2ZnAu6
_chemical_formula_sum 'Mn4 Zn2 Au12'
_symmetry_space_group_name_H-M 'P 42/m n m'
_symmetry_Int_Tables_number 136
_symmetry_space_group_name_Hall '-P 4n 2n'
_cell_length_a 8.475
_cell_length_b 8.475
_cell_length_c 4.239
_cell_angle_alpha 90.00
_cell_angle_beta 90.00
_cell_angle_gamma 90.00
loop_
_atom_site_label
_atom_site_type_symbol
_atom_site_fract_x
_atom_site_fract_y
_atom_site_fract_z
_atom_site_occupancy
Mn1 Mn 0.188 0.188 0.000 1
Zn1 Zn 0.000 0.000 0.500 1
Au1 Au 0.018 0.324 0.500 1
Au2 Au 0.140 0.860 0.000 1
```

Principal peaks in the range 10 to 80 degrees two-theta, sorted by position:
two_theta	I (rel.)	hkl
31.7	12	2 1 1
38.3	100	3 0 1
39.8	9	3 1 1
42.7	20	0 0 2
45.4	26	3 3 0
64.1	19	3 3 2
75.2	16	3 0 3
79.1	14	6 3 1

---

No. 2
Structure and computed X-ray diffraction stick pattern of MnZnAu14 (a PBE-relaxed structure; copper Kα).

```
data_MnZnAu14
_chemical_formula_sum 'Mn2 Zn2 Au28'
_symmetry_space_group_name_H-M 'A m m 2'
_symmetry_Int_Tables_number 38
_symmetry_space_group_name_Hall 'A 2 -2'
_cell_length_a 9.386
_cell_length_b 5.992
_cell_length_c 10.113
_cell_angle_alpha 90.00
_cell_angle_beta 90.00
_cell_angle_gamma 90.00
loop_
_atom_site_label
_atom_site_type_symbol
_atom_site_fract_x
_atom_site_fract_y
_atom_site_fract_z
_atom_site_occupancy
Mn1 Mn 0.000 0.000 0.000 1
Zn1 Zn 0.000 0.000 0.500 1
Au1 Au 0.000 0.249 0.253 1
Au2 Au 0.238 0.250 0.077 1
Au3 Au 0.248 0.000 0.331 1
Au4 Au 0.248 0.000 0.832 1
Au5 Au 0.500 0.000 0.159 1
Au6 Au 0.500 0.000 0.659 1
Au7 Au 0.500 0.250 0.412 1
```

Principal peaks in the range 10 to 80 degrees two-theta, sorted by position:
two_theta	I (rel.)	hkl
36.1	31	1 2 2
36.8	18	1 0 4
38.4	43	4 0 0
39.9	100	2 2 2
40.5	41	2 0 4
63.3	20	0 2 6
70.4	18	6 2 2
76.5	23	4 2 6